No. 1
Structure and simulated X-ray powder pattern of ErAlRe (a DFT-relaxed cell (PBE, OQMD); Cu Ka).

Peak list (7 most intense, 5° ≤ 2θ ≤ 70°, in order of falling intensity)
2θ = 40.5°, d = 2.229 Å, intensity 1000; 2θ = 28.3°, d = 3.152 Å, intensity 944; 2θ = 66.3°, d = 1.410 Å, intensity 348; 2θ = 50.1°, d = 1.820 Å, intensity 267; 2θ = 58.6°, d = 1.576 Å, intensity 170; 2θ = 24.5°, d = 3.640 Å, intensity 19; 2θ = 47.9°, d = 1.901 Å, intensity 9

Cell and atoms:
a b c (Å): 4.458 4.458 4.458
angles (deg): 60.00 60.00 60.00
Atoms (fractional coordinates):
Er1 0.000 0.000 0.000
Al1 0.250 0.250 0.250
Re1 0.500 0.500 0.500

No. 2
Structure and simulated X-ray powder pattern of Pr2ReOs2C5 (a DFT-relaxed cell (PBE, OQMD); Cu Ka).

Peak list (8 most intense, 5° ≤ 2θ ≤ 70°, in order of falling intensity)
2θ = 30.8°, d = 2.901 Å, intensity 1000; 2θ = 35.8°, d = 2.507 Å, intensity 676; 2θ = 34.3°, d = 2.612 Å, intensity 569; 2θ = 35.4°, d = 2.533 Å, intensity 235; 2θ = 56.1°, d = 1.641 Å, intensity 219; 2θ = 45.7°, d = 1.987 Å, intensity 199; 2θ = 42.6°, d = 2.123 Å, intensity 188; 2θ = 58.4°, d = 1.581 Å, intensity 162

Cell and atoms:
a b c (Å): 5.596 5.596 7.851
angles (deg): 120.89 120.89 41.58
Atoms (fractional coordinates):
Pr1 0.157 0.157 0.268
Pr2 0.843 0.843 0.732
Re1 0.918 0.082 0.500
Os1 0.375 0.353 0.088
Os2 0.647 0.625 0.912
C1 0.158 0.127 0.815
C2 0.400 0.517 0.559
C3 0.483 0.600 0.441
C4 0.507 0.493 0.000
C5 0.873 0.842 0.185

No. 3
Structure and simulated X-ray powder pattern of TcCl4 (a DFT-relaxed cell (PBE, OQMD); Cu Ka).

Peak list (8 most intense, 5° ≤ 2θ ≤ 70°, in order of falling intensity)
2θ = 16.2°, d = 5.460 Å, intensity 1000; 2θ = 12.5°, d = 7.106 Å, intensity 449; 2θ = 32.9°, d = 2.724 Å, intensity 349; 2θ = 37.1°, d = 2.421 Å, intensity 313; 2θ = 33.1°, d = 2.707 Å, intensity 303; 2θ = 20.6°, d = 4.305 Å, intensity 283; 2θ = 25.0°, d = 3.564 Å, intensity 233; 2θ = 51.4°, d = 1.777 Å, intensity 190

Cell and atoms:
a b c (Å): 6.084 11.826 14.213
angles (deg): 90.00 90.00 90.00
Atoms (fractional coordinates):
Tc1 0.101 0.128 0.179
Tc2 0.101 0.372 0.679
Tc3 0.399 0.628 0.179
Tc4 0.399 0.872 0.679
Tc5 0.601 0.128 0.321
Tc6 0.601 0.372 0.821
Tc7 0.899 0.628 0.321
Tc8 0.899 0.872 0.821
Cl1 0.046 0.746 0.428
Cl2 0.046 0.754 0.928
Cl3 0.074 0.741 0.193
Cl4 0.074 0.759 0.693
Cl5 0.224 0.515 0.307
Cl6 0.224 0.985 0.807
Cl7 0.248 0.010 0.071
Cl8 0.248 0.490 0.571
Cl9 0.252 0.510 0.071
Cl10 0.252 0.990 0.571
Cl11 0.276 0.015 0.307
Cl12 0.276 0.485 0.807
Cl13 0.426 0.241 0.193
Cl14 0.426 0.259 0.693
Cl15 0.454 0.246 0.428
Cl16 0.454 0.254 0.928
Cl17 0.546 0.746 0.072
Cl18 0.546 0.754 0.572
Cl19 0.574 0.741 0.307
Cl20 0.574 0.759 0.807
Cl21 0.724 0.515 0.193
Cl22 0.724 0.985 0.693
Cl23 0.748 0.010 0.429
Cl24 0.748 0.490 0.929
Cl25 0.752 0.510 0.429
Cl26 0.752 0.990 0.929
Cl27 0.776 0.015 0.193
Cl28 0.776 0.485 0.693
Cl29 0.926 0.241 0.307
Cl30 0.926 0.259 0.807
Cl31 0.954 0.246 0.072
Cl32 0.954 0.254 0.572

No. 4
Structure and simulated X-ray powder pattern of TbSc2Si4Au4 (a DFT-relaxed cell (PBE, OQMD); Cu Ka).

Peak list (8 most intense, 5° ≤ 2θ ≤ 70°, in order of falling intensity)
2θ = 29.0°, d = 3.084 Å, intensity 1000; 2θ = 34.3°, d = 2.611 Å, intensity 724; 2θ = 39.1°, d = 2.306 Å, intensity 519; 2θ = 43.7°, d = 2.072 Å, intensity 369; 2θ = 43.9°, d = 2.064 Å, intensity 339; 2θ = 38.8°, d = 2.319 Å, intensity 338; 2θ = 36.2°, d = 2.484 Å, intensity 324; 2θ = 14.2°, d = 6.216 Å, intensity 270

Cell and atoms:
a b c (Å): 8.045 8.045 8.045
angles (deg): 150.26 128.83 60.30
Atoms (fractional coordinates):
Tb1 0.000 0.000 0.000
Sc1 0.380 0.880 0.500
Sc2 0.620 0.120 0.500
Si1 0.220 0.220 0.000
Si2 0.328 0.500 0.828
Si3 0.672 0.500 0.172
Si4 0.780 0.780 0.000
Au1 0.038 0.334 0.704
Au2 0.370 0.666 0.704
Au3 0.630 0.334 0.296
Au4 0.962 0.666 0.296

No. 5
Structure and simulated X-ray powder pattern of HoErCu2 (a DFT-relaxed cell (PBE, OQMD); Cu Ka).

Peak list (8 most intense, 5° ≤ 2θ ≤ 70°, in order of falling intensity)
2θ = 32.4°, d = 2.767 Å, intensity 1000; 2θ = 36.6°, d = 2.455 Å, intensity 989; 2θ = 29.0°, d = 3.076 Å, intensity 916; 2θ = 36.0°, d = 2.492 Å, intensity 857; 2θ = 41.5°, d = 2.175 Å, intensity 804; 2θ = 40.5°, d = 2.228 Å, intensity 641; 2θ = 55.3°, d = 1.661 Å, intensity 500; 2θ = 42.0°, d = 2.153 Å, intensity 442

Cell and atoms:
a b c (Å): 4.455 7.061 5.326
angles (deg): 90.00 90.00 90.00
Atoms (fractional coordinates):
Ho1 0.000 0.068 0.000
Ho2 0.500 0.932 0.500
Er1 0.000 0.568 0.231
Er2 0.500 0.432 0.731
Cu1 0.000 0.217 0.493
Cu2 0.000 0.717 0.739
Cu3 0.500 0.283 0.239
Cu4 0.500 0.783 0.993

No. 6
Structure and simulated X-ray powder pattern of TbYNb4 (a DFT-relaxed cell (PBE, OQMD); Cu Ka).

Peak list (8 most intense, 5° ≤ 2θ ≤ 70°, in order of falling intensity)
2θ = 34.6°, d = 2.595 Å, intensity 1000; 2θ = 46.8°, d = 1.940 Å, intensity 795; 2θ = 30.6°, d = 2.921 Å, intensity 439; 2θ = 61.9°, d = 1.498 Å, intensity 179; 2θ = 28.4°, d = 3.138 Å, intensity 65; 2θ = 63.7°, d = 1.461 Å, intensity 44; 2θ = 20.4°, d = 4.354 Å, intensity 35; 2θ = 56.3°, d = 1.633 Å, intensity 34

Cell and atoms:
a b c (Å): 6.567 6.567 6.567
angles (deg): 46.56 46.56 46.56
Atoms (fractional coordinates):
Tb1 0.000 0.000 0.000
Y1 0.500 0.500 0.500
Nb1 0.176 0.176 0.176
Nb2 0.327 0.327 0.327
Nb3 0.673 0.673 0.673
Nb4 0.824 0.824 0.824

No. 7
Structure and simulated X-ray powder pattern of Hf4CuP2Pd (a DFT-relaxed cell (PBE, OQMD); Cu Ka).

Peak list (8 most intense, 5° ≤ 2θ ≤ 70°, in order of falling intensity)
2θ = 35.3°, d = 2.543 Å, intensity 1000; 2θ = 35.4°, d = 2.535 Å, intensity 941; 2θ = 36.2°, d = 2.480 Å, intensity 929; 2θ = 30.5°, d = 2.934 Å, intensity 730; 2θ = 44.2°, d = 2.050 Å, intensity 671; 2θ = 35.9°, d = 2.504 Å, intensity 466; 2θ = 48.0°, d = 1.897 Å, intensity 397; 2θ = 63.4°, d = 1.467 Å, intensity 367

Cell and atoms:
a b c (Å): 5.293 3.640 7.584
angles (deg): 90.00 110.39 90.00
Atoms (fractional coordinates):
Hf1 0.000 0.000 0.000
Hf2 0.055 0.500 0.658
Hf3 0.507 0.000 0.521
Hf4 0.567 0.500 0.162
Cu1 0.422 0.000 0.875
P1 0.644 0.500 0.796
P2 0.900 0.000 0.385
Pd1 0.146 0.500 0.293

No. 8
Structure and simulated X-ray powder pattern of Li4ZnFe2Ge (a DFT-relaxed cell (PBE, OQMD); Cu Ka).

Peak list (8 most intense, 5° ≤ 2θ ≤ 70°, in order of falling intensity)
2θ = 26.1°, d = 3.419 Å, intensity 1000; 2θ = 43.4°, d = 2.085 Å, intensity 659; 2θ = 42.8°, d = 2.111 Å, intensity 345; 2θ = 50.8°, d = 1.796 Å, intensity 302; 2θ = 51.8°, d = 1.765 Å, intensity 140; 2θ = 69.4°, d = 1.354 Å, intensity 110; 2θ = 62.2°, d = 1.493 Å, intensity 107; 2θ = 68.6°, d = 1.368 Å, intensity 58

Cell and atoms:
a b c (Å): 4.222 4.222 5.828
angles (deg): 90.00 90.00 90.00
Atoms (fractional coordinates):
Li1 0.000 0.000 0.000
Li2 0.000 0.500 0.246
Li3 0.500 0.000 0.754
Li4 0.500 0.500 0.500
Zn1 0.500 0.500 0.000
Fe1 0.000 0.500 0.740
Fe2 0.500 0.000 0.260
Ge1 0.000 0.000 0.500

No. 9
Structure and simulated X-ray powder pattern of Ba2CuSn2Hg (a DFT-relaxed cell (PBE, OQMD); Cu Ka).

Peak list (8 most intense, 5° ≤ 2θ ≤ 70°, in order of falling intensity)
2θ = 27.9°, d = 3.197 Å, intensity 1000; 2θ = 37.5°, d = 2.398 Å, intensity 494; 2θ = 52.9°, d = 1.732 Å, intensity 358; 2θ = 47.4°, d = 1.918 Å, intensity 236; 2θ = 62.0°, d = 1.498 Å, intensity 213; 2θ = 35.8°, d = 2.505 Å, intensity 181; 2θ = 59.7°, d = 1.550 Å, intensity 117; 2θ = 17.7°, d = 5.010 Å, intensity 108

Cell and atoms:
a b c (Å): 4.795 4.795 10.020
angles (deg): 90.00 90.00 120.00
Atoms (fractional coordinates):
Ba1 0.000 0.000 0.239
Ba2 0.000 0.000 0.761
Cu1 0.667 0.333 0.000
Sn1 0.333 0.667 0.000
Sn2 0.667 0.333 0.500
Hg1 0.333 0.667 0.500

No. 10
Structure and simulated X-ray powder pattern of Pr3B2Pt13 (a DFT-relaxed cell (PBE, OQMD); Cu Ka).

Peak list (8 most intense, 5° ≤ 2θ ≤ 70°, in order of falling intensity)
2θ = 39.7°, d = 2.271 Å, intensity 1000; 2θ = 37.9°, d = 2.374 Å, intensity 654; 2θ = 44.2°, d = 2.049 Å, intensity 510; 2θ = 18.7°, d = 4.748 Å, intensity 355; 2θ = 68.5°, d = 1.371 Å, intensity 327; 2θ = 36.9°, d = 2.433 Å, intensity 310; 2θ = 63.1°, d = 1.474 Å, intensity 259; 2θ = 29.0°, d = 3.084 Å, intensity 236

Cell and atoms:
a b c (Å): 5.483 5.483 12.167
angles (deg): 90.00 90.00 120.00
Atoms (fractional coordinates):
Pr1 0.000 0.000 0.000
Pr2 0.000 0.000 0.330
Pr3 0.000 0.000 0.670
B1 0.333 0.667 0.000
B2 0.667 0.333 0.000
Pt1 0.000 0.500 0.127
Pt2 0.000 0.500 0.500
Pt3 0.000 0.500 0.873
Pt4 0.333 0.667 0.317
Pt5 0.333 0.667 0.683
Pt6 0.500 0.000 0.127
Pt7 0.500 0.000 0.500
Pt8 0.500 0.000 0.873
Pt9 0.500 0.500 0.127
Pt10 0.500 0.500 0.500
Pt11 0.500 0.500 0.873
Pt12 0.667 0.333 0.317
Pt13 0.667 0.333 0.683

No. 11
Structure and simulated X-ray powder pattern of Li4AlTlZn2 (a DFT-relaxed cell (PBE, OQMD); Cu Ka).

Peak list (8 most intense, 5° ≤ 2θ ≤ 70°, in order of falling intensity)
2θ = 24.4°, d = 3.645 Å, intensity 1000; 2θ = 40.4°, d = 2.235 Å, intensity 617; 2θ = 20.0°, d = 4.451 Å, intensity 363; 2θ = 47.9°, d = 1.899 Å, intensity 328; 2θ = 40.5°, d = 2.225 Å, intensity 315; 2θ = 31.7°, d = 2.820 Å, intensity 302; 2θ = 13.9°, d = 6.350 Å, intensity 300; 2θ = 34.7°, d = 2.585 Å, intensity 199

Cell and atoms:
a b c (Å): 4.451 4.451 6.350
angles (deg): 90.00 90.00 90.00
Atoms (fractional coordinates):
Li1 0.000 0.000 0.000
Li2 0.000 0.500 0.240
Li3 0.500 0.000 0.760
Li4 0.500 0.500 0.500
Al1 0.500 0.500 0.000
Tl1 0.000 0.000 0.500
Zn1 0.000 0.500 0.774
Zn2 0.500 0.000 0.226

No. 12
Structure and simulated X-ray powder pattern of Ga2Ag9 (a DFT-relaxed cell (PBE, OQMD); Cu Ka).

Peak list (8 most intense, 5° ≤ 2θ ≤ 70°, in order of falling intensity)
2θ = 5.0°, d = 17.549 Å, intensity 1000; 2θ = 37.8°, d = 2.377 Å, intensity 712; 2θ = 44.2°, d = 2.050 Å, intensity 382; 2θ = 42.6°, d = 2.120 Å, intensity 247; 2θ = 37.0°, d = 2.428 Å, intensity 214; 2θ = 35.8°, d = 2.507 Å, intensity 199; 2θ = 63.8°, d = 1.458 Å, intensity 186; 2θ = 38.5°, d = 2.340 Å, intensity 143

Cell and atoms:
a b c (Å): 2.917 2.917 35.098
angles (deg): 90.00 90.00 120.00
Atoms (fractional coordinates):
Ga1 0.333 0.667 0.346
Ga2 0.667 0.333 0.654
Ag1 0.000 0.000 0.000
Ag2 0.000 0.000 0.207
Ag3 0.000 0.000 0.793
Ag4 0.333 0.667 0.138
Ag5 0.333 0.667 0.723
Ag6 0.333 0.667 0.931
Ag7 0.667 0.333 0.069
Ag8 0.667 0.333 0.277
Ag9 0.667 0.333 0.862

No. 13
Structure and simulated X-ray powder pattern of Te2WSeSBr (a DFT-relaxed cell (PBE, OQMD); Cu Ka).

Peak list (8 most intense, 5° ≤ 2θ ≤ 70°, in order of falling intensity)
2θ = 13.2°, d = 6.695 Å, intensity 1000; 2θ = 11.9°, d = 7.456 Å, intensity 591; 2θ = 13.0°, d = 6.798 Å, intensity 433; 2θ = 34.1°, d = 2.627 Å, intensity 263; 2θ = 23.5°, d = 3.782 Å, intensity 203; 2θ = 37.0°, d = 2.433 Å, intensity 189; 2θ = 32.9°, d = 2.724 Å, intensity 147; 2θ = 39.2°, d = 2.296 Å, intensity 146

Cell and atoms:
a b c (Å): 6.611 8.245 8.477
angles (deg): 112.39 96.32 113.43
Atoms (fractional coordinates):
Te1 0.035 0.496 0.257
Te2 0.374 0.332 0.688
Te3 0.626 0.668 0.312
Te4 0.965 0.504 0.743
W1 0.275 0.500 0.999
W2 0.725 0.500 0.001
Se1 0.400 0.276 0.082
Se2 0.600 0.724 0.918
S1 0.153 0.760 0.167
S2 0.847 0.240 0.833
Br1 0.163 0.895 0.744
Br2 0.837 0.105 0.256